(1)
Starting from a DFT-relaxed cell (PBE, Alexandria), the powder X-ray diffraction pattern of Ba2HoAuO4 was simulated for λ = 1.5418 Å (Cu Kα).
Neutral-atom scattering factors, no anomalous dispersion.

Structural model:
```
data_Ba2HoAuO4
_chemical_formula_sum 'Ba4 Ho2 Au2 O8'
_cell_length_a 5.7276
_cell_length_b 5.7276
_cell_length_c 10.7218
_cell_angle_alpha 90.00
_cell_angle_beta 90.00
_cell_angle_gamma 90.00
_symmetry_space_group_name_H-M 'I -4'
_symmetry_Int_Tables_number 82
loop_
_symmetry_equiv_pos_as_xyz
'x,y,z'
'y,-x,-z'
'-x,-y,z'
'-y,x,-z'
'x+1/2,y+1/2,z+1/2'
'y+1/2,-x+1/2,-z+1/2'
'-x+1/2,-y+1/2,z+1/2'
'-y+1/2,x+1/2,-z+1/2'
loop_
_atom_site_label
_atom_site_type_symbol
_atom_site_fract_x
_atom_site_fract_y
_atom_site_fract_z
_atom_site_occupancy
Ba1 Ba 0.0000 0.0000 0.0000 1
Ba2 Ba 0.0000 0.5000 0.2500 1
Ho1 Ho 0.0000 0.0000 0.5000 1
Au1 Au 0.0000 0.5000 0.7500 1
O1 O 0.2108 0.7741 0.6129 1
```

Principal peaks in the range 2θ = 10–90°, most intense first:
| 2theta | intensity | hkl |
| --- | --- | --- |
| 27.6 | 100 | 1 1 2 |
| 53.4 | 32 | 3 1 2 |
| 31.2 | 29 | 2 0 0 |
| 46.4 | 28 | 2 0 4 |
| 44.8 | 16 | 2 2 0 |
| 56.3 | 14 | 1 1 6 |
| 74.6 | 12 | 1 3 6 |
| 33.4 | 12 | 0 0 4 |
| 57.0 | 11 | 2 2 4 |
| 83.7 | 10 | 2 4 4 |
| 89.1 | 8 | 1 5 2 |
| 72.2 | 7 | 3 3 2 |


(2)
Starting from a DFT-relaxed cell (PBE, Alexandria), the powder X-ray diffraction pattern of Ac3Nd7Hg4 was simulated for λ = 1.5418 Å (Cu Kα).
Neutral-atom scattering factors, no anomalous dispersion.

Structural model:
```
data_Ac3Nd7Hg4
_chemical_formula_sum 'Ac6 Nd14 Hg8'
_cell_length_a 19.5089
_cell_length_b 5.1835
_cell_length_c 11.8642
_cell_angle_alpha 90.00
_cell_angle_beta 127.21
_cell_angle_gamma 90.00
_symmetry_space_group_name_H-M 'C 1 2/m 1'
_symmetry_Int_Tables_number 12
loop_
_symmetry_equiv_pos_as_xyz
'x,y,z'
'-x,-y,-z'
'-x,y,-z'
'x,-y,z'
'x+1/2,y+1/2,z'
'-x+1/2,-y+1/2,-z'
'-x+1/2,y+1/2,-z'
'x+1/2,-y+1/2,z'
loop_
_atom_site_label
_atom_site_type_symbol
_atom_site_fract_x
_atom_site_fract_y
_atom_site_fract_z
_atom_site_occupancy
Ac1 Ac 0.0000 0.0000 0.0000 1
Ac2 Ac 0.1837 0.5000 0.6838 1
Nd1 Nd 0.0000 0.0000 0.5000 1
Nd2 Nd 0.0132 0.5000 0.2853 1
Nd3 Nd 0.1661 0.0000 0.4347 1
Nd4 Nd 0.1960 0.5000 0.0349 1
Hg1 Hg 0.1071 0.0000 0.8360 1
Hg2 Hg 0.1603 0.5000 0.2537 1
```

Principal peaks in the range 2θ = 10–90°, most intense first:
| 2theta | intensity | hkl |
| --- | --- | --- |
| 28.6 | 100 | 1 1 2 |
| 34.6 | 54 | 0 2 0 |
| 28.4 | 24 | 3 1 -3 |
| 58.4 | 21 | 1 3 2 |
| 29.7 | 18 | 3 1 1 |
| 24.3 | 14 | 3 1 0 |
| 30.7 | 14 | 5 1 -3 |
| 30.1 | 13 | 4 0 -4 |
| 35.3 | 13 | 3 1 -4 |
| 28.5 | 12 | 6 0 -3 |
| 33.6 | 12 | 5 1 0 |
| 36.7 | 12 | 1 1 3 |


(3)
Starting from a DFT-relaxed cell (PBE, Alexandria), the powder X-ray diffraction pattern of Np2CrNi3As4 was simulated for λ = 1.5418 Å (Cu Kα).
Neutral-atom scattering factors, no anomalous dispersion.

Structural model:
```
data_Np2CrNi3As4
_chemical_formula_sum 'Np2 Cr1 Ni3 As4'
_cell_length_a 4.1856
_cell_length_b 4.1856
_cell_length_c 9.5715
_cell_angle_alpha 90.00
_cell_angle_beta 90.00
_cell_angle_gamma 90.00
_symmetry_space_group_name_H-M 'P -4 m 2'
_symmetry_Int_Tables_number 115
loop_
_symmetry_equiv_pos_as_xyz
'x,y,z'
'y,-x,-z'
'-x,-y,z'
'-y,x,-z'
'-x,y,z'
'-y,-x,-z'
'x,-y,z'
'y,x,-z'
loop_
_atom_site_label
_atom_site_type_symbol
_atom_site_fract_x
_atom_site_fract_y
_atom_site_fract_z
_atom_site_occupancy
Np1 Np 0.0000 0.5000 0.2391 1
Cr1 Cr 0.0000 0.0000 0.5000 1
Ni1 Ni 0.0000 0.5000 0.8852 1
Ni2 Ni 0.5000 0.5000 0.5000 1
As1 As 0.0000 0.0000 0.0000 1
As2 As 0.0000 0.5000 0.6412 1
As3 As 0.5000 0.5000 0.0000 1
```

Principal peaks in the range 2θ = 10–90°, most intense first:
| 2theta | intensity | hkl |
| --- | --- | --- |
| 35.7 | 100 | 1 1 2 |
| 35.4 | 73 | 1 0 3 |
| 43.2 | 55 | 2 0 0 |
| 57.0 | 37 | 2 1 3 |
| 23.2 | 33 | 1 0 1 |
| 30.2 | 31 | 1 1 0 |
| 52.6 | 26 | 1 0 5 |
| 74.4 | 24 | 3 1 2 |
| 70.3 | 21 | 2 1 5 |
| 62.8 | 18 | 2 2 0 |
| 66.6 | 12 | 1 1 6 |
| 89.9 | 11 | 3 2 3 |


(4)
Starting from a DFT-relaxed cell (PBE, Alexandria), the powder X-ray diffraction pattern of PaSb2Pd8 was simulated for λ = 1.5418 Å (Cu Kα).
Neutral-atom scattering factors, no anomalous dispersion.

Structural model:
```
data_PaSb2Pd8
_chemical_formula_sum 'Pa2 Sb4 Pd16'
_cell_length_a 8.1776
_cell_length_b 11.3101
_cell_length_c 4.4373
_cell_angle_alpha 90.00
_cell_angle_beta 95.79
_cell_angle_gamma 90.00
_symmetry_space_group_name_H-M 'C 1 2/m 1'
_symmetry_Int_Tables_number 12
loop_
_symmetry_equiv_pos_as_xyz
'x,y,z'
'-x,-y,-z'
'-x,y,-z'
'x,-y,z'
'x+1/2,y+1/2,z'
'-x+1/2,-y+1/2,-z'
'-x+1/2,y+1/2,-z'
'x+1/2,-y+1/2,z'
loop_
_atom_site_label
_atom_site_type_symbol
_atom_site_fract_x
_atom_site_fract_y
_atom_site_fract_z
_atom_site_occupancy
Pa1 Pa 0.0000 0.0000 0.0000 1
Sb1 Sb 0.0000 0.3578 0.5000 1
Pd1 Pd 0.0000 0.2406 0.0000 1
Pd2 Pd 0.1684 0.5000 0.9400 1
Pd3 Pd 0.1722 0.1275 0.5338 1
```

Principal peaks in the range 2θ = 10–90°, most intense first:
| 2theta | intensity | hkl |
| --- | --- | --- |
| 37.8 | 100 | 0 4 1 |
| 38.0 | 47 | 3 1 -1 |
| 41.0 | 43 | 3 3 0 |
| 40.9 | 37 | 0 0 2 |
| 41.6 | 36 | 3 1 1 |
| 72.4 | 18 | 0 4 3 |
| 52.7 | 17 | 3 5 0 |
| 56.6 | 14 | 3 3 -2 |
| 21.8 | 13 | 2 0 0 |
| 25.6 | 13 | 0 2 1 |
| 31.4 | 11 | 2 0 1 |
| 79.4 | 11 | 6 4 -1 |


(5)
Starting from a DFT-relaxed cell (PBE, Alexandria), the powder X-ray diffraction pattern of Pr16Nd7Er6 was simulated for λ = 1.5418 Å (Cu Kα).
Neutral-atom scattering factors, no anomalous dispersion.

Structural model:
```
data_Pr16Nd7Er6
_chemical_formula_sum 'Pr64 Nd28 Er24'
_cell_length_a 16.2049
_cell_length_b 16.2049
_cell_length_c 16.2049
_cell_angle_alpha 90.00
_cell_angle_beta 90.00
_cell_angle_gamma 90.00
_symmetry_space_group_name_H-M 'F m -3 m'
_symmetry_Int_Tables_number 225
_symmetry_space_group_name_Hall '-F 4 2 3'
loop_
_atom_site_label
_atom_site_type_symbol
_atom_site_fract_x
_atom_site_fract_y
_atom_site_fract_z
_atom_site_occupancy
Pr1 Pr 0.1253 0.1253 0.1253 1
Pr2 Pr 0.1501 0.1501 0.3499 1
Nd1 Nd 0.0000 0.0000 0.0000 1
Nd2 Nd 0.0000 0.2500 0.2500 1
Er1 Er 0.0000 0.0000 0.2621 1
```

Principal peaks in the range 2θ = 10–90°, most intense first:
| 2theta | intensity | hkl |
| --- | --- | --- |
| 31.2 | 100 | 4 4 0 |
| 55.6 | 28 | 8 4 4 |
| 44.7 | 15 | 8 0 0 |
| 74.0 | 8 | 12 4 0 |
| 28.6 | 8 | 3 3 3 |
| 65.1 | 8 | 8 8 0 |
| 27.0 | 6 | 4 2 2 |
| 24.6 | 5 | 4 2 0 |
| 32.7 | 5 | 5 3 1 |
| 35.0 | 5 | 6 2 0 |
| 15.5 | 5 | 2 2 0 |
| 42.9 | 5 | 7 3 1 |


(6)
Starting from a DFT-relaxed cell (PBE, Alexandria), the powder X-ray diffraction pattern of Cs2HoSnSe4 was simulated for λ = 1.5418 Å (Cu Kα).
Neutral-atom scattering factors, no anomalous dispersion.

Structural model:
```
data_Cs2HoSnSe4
_chemical_formula_sum 'Cs16 Ho8 Sn8 Se32'
_cell_length_a 6.9534
_cell_length_b 15.4081
_cell_length_c 26.1869
_cell_angle_alpha 90.00
_cell_angle_beta 90.00
_cell_angle_gamma 90.00
_symmetry_space_group_name_H-M 'F d d d'
_symmetry_Int_Tables_number 70
loop_
_symmetry_equiv_pos_as_xyz
'x,y,z'
'-x,-y,-z'
'-x+1/4,-y+1/4,z'
'x+1/4,y+1/4,-z'
'x,-y+1/4,-z+1/4'
'-x,y+1/4,z+1/4'
'-x+1/4,y,-z+1/4'
'x+1/4,-y,z+1/4'
'x,y+1/2,z+1/2'
'-x,-y+1/2,-z+1/2'
'-x+1/4,-y+3/4,z+1/2'
'x+1/4,y+3/4,-z+1/2'
'x,-y+3/4,-z+3/4'
'-x,y+3/4,z+3/4'
'-x+1/4,y+1/2,-z+3/4'
'x+1/4,-y+1/2,z+3/4'
'x+1/2,y,z+1/2'
'-x+1/2,-y,-z+1/2'
'-x+3/4,-y+1/4,z+1/2'
'x+3/4,y+1/4,-z+1/2'
'x+1/2,-y+1/4,-z+3/4'
'-x+1/2,y+1/4,z+3/4'
'-x+3/4,y,-z+3/4'
'x+3/4,-y,z+3/4'
'x+1/2,y+1/2,z'
'-x+1/2,-y+1/2,-z'
'-x+3/4,-y+3/4,z'
'x+3/4,y+3/4,-z'
'x+1/2,-y+3/4,-z+1/4'
'-x+1/2,y+3/4,z+1/4'
'-x+3/4,y+1/2,-z+1/4'
'x+3/4,-y+1/2,z+1/4'
loop_
_atom_site_label
_atom_site_type_symbol
_atom_site_fract_x
_atom_site_fract_y
_atom_site_fract_z
_atom_site_occupancy
Cs1 Cs 0.1250 0.1250 0.3059 1
Ho1 Ho 0.1250 0.1250 0.1250 1
Sn1 Sn 0.1250 0.1250 0.6250 1
Se1 Se 0.1222 0.2745 0.4286 1
```

Principal peaks in the range 2θ = 10–90°, most intense first:
| 2theta | intensity | hkl |
| --- | --- | --- |
| 23.4 | 100 | 0 2 6 |
| 23.8 | 98 | 1 3 3 |
| 27.5 | 97 | 1 3 5 |
| 32.9 | 81 | 2 0 6 |
| 13.5 | 80 | 0 0 4 |
| 43.8 | 74 | 2 6 0 |
| 13.3 | 61 | 0 2 2 |
| 28.2 | 58 | 2 2 0 |
| 43.3 | 44 | 2 0 10 |
| 40.8 | 41 | 0 6 6 |
| 21.8 | 35 | 1 3 1 |
| 40.6 | 34 | 2 4 6 |


(7)
Starting from a DFT-relaxed cell (PBE, Alexandria), the powder X-ray diffraction pattern of SmErBiO2 was simulated for λ = 1.5418 Å (Cu Kα).
Neutral-atom scattering factors, no anomalous dispersion.

Structural model:
```
data_SmErBiO2
_chemical_formula_sum 'Sm2 Er2 Bi2 O4'
_cell_length_a 3.9133
_cell_length_b 3.9133
_cell_length_c 13.6823
_cell_angle_alpha 90.00
_cell_angle_beta 90.00
_cell_angle_gamma 90.00
_symmetry_space_group_name_H-M 'I 4 m m'
_symmetry_Int_Tables_number 107
_symmetry_space_group_name_Hall 'I 4 -2'
loop_
_atom_site_label
_atom_site_type_symbol
_atom_site_fract_x
_atom_site_fract_y
_atom_site_fract_z
_atom_site_occupancy
Sm1 Sm 0.0000 0.0000 0.0000 1
Er1 Er 0.0000 0.0000 0.3357 1
Bi1 Bi 0.0000 0.0000 0.6691 1
O1 O 0.0000 0.5000 0.4120 1
```

Principal peaks in the range 2θ = 10–90°, most intense first:
| 2theta | intensity | hkl |
| --- | --- | --- |
| 30.1 | 100 | 1 0 3 |
| 32.4 | 36 | 1 1 0 |
| 56.3 | 35 | 2 1 3 |
| 52.0 | 25 | 1 1 6 |
| 46.4 | 17 | 2 0 0 |
| 62.6 | 12 | 2 0 6 |
| 84.4 | 11 | 2 1 9 |
| 65.9 | 11 | 1 0 9 |
| 39.5 | 11 | 0 0 6 |
| 75.9 | 7 | 3 0 3 |
| 77.1 | 6 | 3 1 0 |
| 81.3 | 6 | 2 2 6 |


(8)
Starting from a DFT-relaxed cell (PBE, Alexandria), the powder X-ray diffraction pattern of ScBe9Ru2 was simulated for λ = 1.5418 Å (Cu Kα).
Neutral-atom scattering factors, no anomalous dispersion.

Structural model:
```
data_ScBe9Ru2
_chemical_formula_sum 'Sc2 Be18 Ru4'
_cell_length_a 4.3966
_cell_length_b 4.3966
_cell_length_c 14.0249
_cell_angle_alpha 90.00
_cell_angle_beta 90.00
_cell_angle_gamma 120.00
_symmetry_space_group_name_H-M 'P 63/m m c'
_symmetry_Int_Tables_number 194
_symmetry_space_group_name_Hall '-P 6c 2c'
loop_
_atom_site_label
_atom_site_type_symbol
_atom_site_fract_x
_atom_site_fract_y
_atom_site_fract_z
_atom_site_occupancy
Sc1 Sc 0.3333 0.6667 0.2500 1
Be1 Be 0.0000 0.0000 0.0000 1
Be2 Be 0.0000 0.0000 0.2500 1
Be3 Be 0.1700 0.3399 0.6194 1
Be4 Be 0.3333 0.6667 0.7500 1
Ru1 Ru 0.3333 0.6667 0.0360 1
```

Principal peaks in the range 2θ = 10–90°, most intense first:
| 2theta | intensity | hkl |
| --- | --- | --- |
| 12.6 | 100 | 0 0 2 |
| 39.9 | 78 | 1 0 5 |
| 41.1 | 59 | 1 1 0 |
| 23.4 | 49 | 1 0 0 |
| 48.9 | 42 | 1 1 4 |
| 24.2 | 31 | 1 0 1 |
| 43.1 | 28 | 1 1 2 |
| 25.4 | 26 | 0 0 4 |
| 26.6 | 26 | 1 0 2 |
| 74.0 | 23 | 2 1 5 |
| 51.5 | 22 | 1 0 7 |
| 30.3 | 20 | 1 0 3 |


(9)
Starting from a DFT-relaxed cell (PBE, Alexandria), the powder X-ray diffraction pattern of Ba8SrCa3 was simulated for λ = 1.5418 Å (Cu Kα).
Neutral-atom scattering factors, no anomalous dispersion.

Structural model:
```
data_Ba8SrCa3
_chemical_formula_sum 'Ba24 Sr3 Ca9'
_cell_length_a 11.7759
_cell_length_b 11.7759
_cell_length_c 18.2854
_cell_angle_alpha 90.00
_cell_angle_beta 90.00
_cell_angle_gamma 120.00
_symmetry_space_group_name_H-M 'R -3 m'
_symmetry_Int_Tables_number 166
_symmetry_space_group_name_Hall '-R 3 2"'
loop_
_atom_site_label
_atom_site_type_symbol
_atom_site_fract_x
_atom_site_fract_y
_atom_site_fract_z
_atom_site_occupancy
Ba1 Ba 0.0000 0.0000 0.2324 1
Ba2 Ba 0.0636 0.5318 0.2633 1
Sr1 Sr 0.0000 0.0000 0.0000 1
Ca1 Ca 0.0000 0.5000 0.5000 1
```

Principal peaks in the range 2θ = 10–90°, most intense first:
| 2theta | intensity | hkl |
| --- | --- | --- |
| 26.2 | 100 | 0 2 4 |
| 19.9 | 80 | 2 0 2 |
| 23.6 | 63 | 2 1 1 |
| 30.4 | 55 | 2 2 0 |
| 30.1 | 35 | 0 3 3 |
| 46.1 | 31 | 2 3 5 |
| 25.9 | 28 | 0 1 5 |
| 40.5 | 22 | 4 0 4 |
| 43.4 | 20 | 2 0 8 |
| 44.7 | 15 | 0 5 1 |
| 53.9 | 15 | 5 1 4 |
| 52.5 | 14 | 0 3 9 |